(1)
Ho2Th5: simulated X-ray powder pattern (Cu Kα (λ = 1.5418 Å)), based on a cell relaxed with GGA-PBE.

```
data_Ho2Th5
_space_group_name_H-M_alt 'C 1 2/m 1'
_space_group_IT_number 12
_cell_length_a 11.277
_cell_length_b 5.005
_cell_length_c 7.984
_cell_angle_alpha 90.00
_cell_angle_beta 97.76
_cell_angle_gamma 90.00
loop_
_space_group_symop_operation_xyz
'x,y,z'
'-x,-y,-z'
'-x,y,-z'
'x,-y,z'
'x+1/2,y+1/2,z'
'-x+1/2,-y+1/2,-z'
'-x+1/2,y+1/2,-z'
'x+1/2,-y+1/2,z'
loop_
_atom_site_label
_atom_site_type_symbol
_atom_site_fract_x
_atom_site_fract_y
_atom_site_fract_z
_atom_site_occupancy
Ho1 Ho 0.070 0.000 0.216 1
Th1 Th 0.000 0.500 0.500 1
Th2 Th 0.144 0.500 0.930 1
Th3 Th 0.214 0.000 0.643 1
```

Largest 6 diffraction maxima, by angle, 15 to 90 degrees two-theta:
- 30.71 deg, I 100
- 30.82 deg, I 99
- 35.50 deg, I 34
- 35.63 deg, I 34
- 35.88 deg, I 33
- 51.35 deg, I 37



(2)
Ho4Th: simulated X-ray powder pattern (Cu Kα (λ = 1.5418 Å)), based on a cell relaxed with GGA-PBE.

```
data_Ho4Th
_space_group_name_H-M_alt 'C m m m'
_space_group_IT_number 65
_space_group_name_Hall '-C 2 2'
_cell_length_a 5.354
_cell_length_b 16.713
_cell_length_c 3.493
_cell_angle_alpha 90.00
_cell_angle_beta 90.00
_cell_angle_gamma 90.00
loop_
_atom_site_label
_atom_site_type_symbol
_atom_site_fract_x
_atom_site_fract_y
_atom_site_fract_z
_atom_site_occupancy
Ho1 Ho 0.000 0.107 0.000 1
Ho2 Ho 0.000 0.301 0.500 1
Th1 Th 0.000 0.500 0.500 1
```

Largest 6 diffraction maxima, by angle, 15 to 90 degrees two-theta:
- 31.03 deg, I 94
- 31.55 deg, I 100
- 33.45 deg, I 86
- 41.46 deg, I 18
- 48.04 deg, I 31
- 62.45 deg, I 29



(3)
Ho5ThTl8: simulated X-ray powder pattern (Cu Kα (λ = 1.5418 Å)), based on a cell relaxed with GGA-PBE.

```
data_Ho5ThTl8
_space_group_name_H-M_alt 'I -4'
_space_group_IT_number 82
_cell_length_a 9.193
_cell_length_b 9.193
_cell_length_c 9.482
_cell_angle_alpha 90.00
_cell_angle_beta 90.00
_cell_angle_gamma 90.00
loop_
_space_group_symop_operation_xyz
'x,y,z'
'y,-x,-z'
'-x,-y,z'
'-y,x,-z'
'x+1/2,y+1/2,z+1/2'
'y+1/2,-x+1/2,-z+1/2'
'-x+1/2,-y+1/2,z+1/2'
'-y+1/2,x+1/2,-z+1/2'
loop_
_atom_site_label
_atom_site_type_symbol
_atom_site_fract_x
_atom_site_fract_y
_atom_site_fract_z
_atom_site_occupancy
Ho1 Ho 0.000 0.000 0.000 1
Ho2 Ho 0.134 0.773 0.606 1
Th1 Th 0.000 0.500 0.250 1
Tl1 Tl 0.072 0.663 0.934 1
Tl2 Tl 0.098 0.837 0.284 1
```

Largest 6 diffraction maxima, by angle, 15 to 90 degrees two-theta:
- 29.90 deg, I 57
- 30.70 deg, I 100
- 35.84 deg, I 45
- 36.25 deg, I 52
- 36.49 deg, I 49
- 48.26 deg, I 16



(4)
HoThTl: simulated X-ray powder pattern (Cu Kα (λ = 1.5418 Å)), based on a cell relaxed with GGA-PBE.

```
data_HoThTl
_space_group_name_H-M_alt 'I 4 m m'
_space_group_IT_number 107
_space_group_name_Hall 'I 4 -2'
_cell_length_a 3.637
_cell_length_b 3.637
_cell_length_c 13.729
_cell_angle_alpha 90.00
_cell_angle_beta 90.00
_cell_angle_gamma 90.00
loop_
_atom_site_label
_atom_site_type_symbol
_atom_site_fract_x
_atom_site_fract_y
_atom_site_fract_z
_atom_site_occupancy
Ho1 Ho 0.000 0.000 0.000 1
Th1 Th 0.000 0.000 0.683 1
Tl1 Tl 0.000 0.000 0.350 1
```

Largest 6 diffraction maxima, by angle, 15 to 90 degrees two-theta:
- 31.42 deg, I 100
- 34.89 deg, I 39
- 39.38 deg, I 13
- 50.17 deg, I 14
- 53.61 deg, I 21
- 60.40 deg, I 32



(5)
HoTm10Th4: simulated X-ray powder pattern (Cu Kα (λ = 1.5418 Å)), based on a cell relaxed with GGA-PBE.

```
data_HoTm10Th4
_space_group_name_H-M_alt 'I 4/m m m'
_space_group_IT_number 139
_space_group_name_Hall '-I 4 2'
_cell_length_a 11.178
_cell_length_b 11.178
_cell_length_c 7.724
_cell_angle_alpha 90.00
_cell_angle_beta 90.00
_cell_angle_gamma 90.00
loop_
_atom_site_label
_atom_site_type_symbol
_atom_site_fract_x
_atom_site_fract_y
_atom_site_fract_z
_atom_site_occupancy
Ho1 Ho 0.000 0.000 0.000 1
Tm1 Tm 0.000 0.209 0.293 1
Tm2 Tm 0.000 0.500 0.250 1
Th1 Th 0.228 0.228 0.000 1
```

Largest 6 diffraction maxima, by angle, 15 to 90 degrees two-theta:
- 28.08 deg, I 64
- 31.08 deg, I 51
- 32.03 deg, I 97
- 32.41 deg, I 100
- 34.39 deg, I 31
- 41.49 deg, I 40



(6)
Ho3TmTh4: simulated X-ray powder pattern (Cu Kα (λ = 1.5418 Å)), based on a cell relaxed with GGA-PBE.

```
data_Ho3TmTh4
_space_group_name_H-M_alt 'I m m m'
_space_group_IT_number 71
_space_group_name_Hall '-I 2 2'
_cell_length_a 3.416
_cell_length_b 11.306
_cell_length_c 13.169
_cell_angle_alpha 90.00
_cell_angle_beta 90.00
_cell_angle_gamma 90.00
loop_
_atom_site_label
_atom_site_type_symbol
_atom_site_fract_x
_atom_site_fract_y
_atom_site_fract_z
_atom_site_occupancy
Ho1 Ho 0.000 0.000 0.000 1
Ho2 Ho 0.000 0.500 0.234 1
Tm1 Tm 0.000 0.000 0.500 1
Th1 Th 0.000 0.253 0.371 1
```

Largest 6 diffraction maxima, by angle, 15 to 90 degrees two-theta:
- 30.52 deg, I 40
- 31.34 deg, I 37
- 31.45 deg, I 100
- 31.66 deg, I 51
- 36.94 deg, I 35
- 63.53 deg, I 28